1.
This entry pairs a crystal structure of HoErPbC with its simulated powder diffractogram. Radiation: Cu Kα (weighted mean of Kα1 and Kα2). Structure: a crystal structure in OQMD, relaxed with GGA-PBE.
Lines closer than 0.1° are merged.

The 8 most intense peaks (2θ from 10° to 80°), by angle:
| 2theta | I (rel.) |
| --- | --- |
| 28.5 | 23 |
| 33.2 | 100 |
| 33.6 | 21 |
| 44.7 | 16 |
| 50.5 | 21 |
| 59.9 | 19 |
| 61.8 | 17 |
| 62.1 | 22 |

Crystal structure
```
HoErPbC
1.0
3.6139 0.0000 0.0000
-1.8069 3.1297 0.0000
0.0000 0.0000 15.9933
Ho Er Pb C
2 2 2 2
direct
0.3333 0.6667 0.4177
0.6667 0.3333 0.5823
0.3333 0.6667 0.0821
0.6667 0.3333 0.9179
0.3333 0.6667 0.7501
0.6667 0.3333 0.2499
0.0000 0.0000 0.0000
0.0000 0.0000 0.5000
```

***

2.
This entry pairs a crystal structure of HoEr3C2S2 with its simulated powder diffractogram. Radiation: Cu Kα (weighted mean of Kα1 and Kα2). Structure: a crystal structure in OQMD, relaxed with GGA-PBE.
Lines closer than 0.1° are merged.

The 8 most intense peaks (2θ from 10° to 80°), by angle:
| 2theta | I (rel.) |
| --- | --- |
| 27.9 | 20 |
| 28.1 | 31 |
| 29.0 | 40 |
| 35.2 | 100 |
| 49.7 | 30 |
| 58.0 | 21 |
| 58.3 | 18 |
| 62.4 | 19 |

Crystal structure
```
HoEr3C2S2
1.0
3.6694 0.0000 0.0000
-1.8347 3.1778 0.0000
0.0000 0.0000 12.7726
Ho Er C S
1 3 2 2
direct
0.0000 0.0000 0.0000
0.0000 0.0000 0.2926
0.6667 0.3333 0.4998
0.6667 0.3333 0.7920
0.3333 0.6667 0.3963
0.3333 0.6667 0.8957
0.0000 0.0000 0.6462
0.6667 0.3333 0.1469
```

***

3.
This entry pairs a crystal structure of HoErCS with its simulated powder diffractogram. Radiation: Cu Kα (weighted mean of Kα1 and Kα2). Structure: a crystal structure in OQMD, relaxed with GGA-PBE.
Lines closer than 0.1° are merged.

The 8 most intense peaks (2θ from 10° to 80°), by angle:
| 2theta | I (rel.) |
| --- | --- |
| 27.9 | 20 |
| 28.0 | 31 |
| 28.9 | 40 |
| 35.2 | 100 |
| 49.6 | 30 |
| 57.9 | 21 |
| 58.2 | 18 |
| 62.3 | 19 |

Crystal structure
```
HoErCS
1.0
3.6744 0.0000 0.0000
-1.8372 3.1821 0.0000
0.0000 0.0000 12.7918
Ho Er C S
2 2 2 2
direct
0.3333 0.6667 0.0000
0.6667 0.3333 0.5000
0.3333 0.6667 0.2923
0.6667 0.3333 0.7923
0.0000 0.0000 0.3959
0.0000 0.0000 0.8959
0.3333 0.6667 0.6470
0.6667 0.3333 0.1470
```

***

4.
This entry pairs a crystal structure of Ho3ErC2Se2 with its simulated powder diffractogram. Radiation: Cu Kα (weighted mean of Kα1 and Kα2). Structure: a crystal structure in OQMD, relaxed with GGA-PBE.
Lines closer than 0.1° are merged.

The 8 most intense peaks (2θ from 10° to 80°), by angle:
| 2theta | I (rel.) |
| --- | --- |
| 27.6 | 29 |
| 28.4 | 13 |
| 34.4 | 100 |
| 41.1 | 10 |
| 48.8 | 28 |
| 50.2 | 10 |
| 61.1 | 19 |
| 65.6 | 15 |

Crystal structure
```
Ho3ErC2Se2
1.0
3.7348 0.0000 0.0000
-1.8674 3.2344 0.0000
0.0000 0.0000 13.1904
Ho Er C Se
3 1 2 2
direct
0.0000 0.0000 0.0000
0.0000 0.0000 0.3002
0.3333 0.6667 0.5002
0.3333 0.6667 0.8004
0.6667 0.3333 0.4002
0.6667 0.3333 0.9001
0.0000 0.0000 0.6504
0.3333 0.6667 0.1502
```

***

5.
This entry pairs a crystal structure of HoErSnC with its simulated powder diffractogram. Radiation: Cu Kα (weighted mean of Kα1 and Kα2). Structure: a crystal structure in OQMD, relaxed with GGA-PBE.
Lines closer than 0.1° are merged.

The 8 most intense peaks (2θ from 10° to 80°), by angle:
| 2theta | I (rel.) |
| --- | --- |
| 28.7 | 22 |
| 33.5 | 100 |
| 34.2 | 20 |
| 45.2 | 16 |
| 50.8 | 22 |
| 60.8 | 18 |
| 62.3 | 17 |
| 62.7 | 22 |

Crystal structure
```
HoErSnC
1.0
3.5923 0.0000 0.0000
-1.7962 3.1111 0.0000
0.0000 0.0000 15.7267
Ho Er Sn C
2 2 2 2
direct
0.3333 0.6667 0.0000
0.6667 0.3333 0.5000
0.3333 0.6667 0.3312
0.6667 0.3333 0.8312
0.3333 0.6667 0.6659
0.6667 0.3333 0.1659
0.0000 0.0000 0.4153
0.0000 0.0000 0.9153
```

***

6.
This entry pairs a crystal structure of Ho3ErTl2C2 with its simulated powder diffractogram. Radiation: Cu Kα (weighted mean of Kα1 and Kα2). Structure: a crystal structure in OQMD, relaxed with GGA-PBE.
Lines closer than 0.1° are merged.

The 8 most intense peaks (2θ from 10° to 80°), by angle:
| 2theta | I (rel.) |
| --- | --- |
| 28.7 | 18 |
| 33.2 | 100 |
| 44.4 | 13 |
| 50.8 | 17 |
| 59.3 | 18 |
| 62.1 | 32 |
| 69.7 | 6 |
| 77.0 | 2 |

Crystal structure
```
Ho3ErTl2C2
1.0
3.5935 0.0000 0.0000
-1.7967 3.1120 0.0000
0.0000 0.0000 16.1951
Ho Er Tl C
3 1 2 2
direct
0.0000 0.0000 0.0000
0.0000 0.0000 0.3351
0.6667 0.3333 0.8344
0.6667 0.3333 0.5000
0.0000 0.0000 0.6667
0.6667 0.3333 0.1674
0.3333 0.6667 0.4177
0.3333 0.6667 0.9173
```

***

7.
This entry pairs a crystal structure of HoErW2C3 with its simulated powder diffractogram. Radiation: Cu Kα (weighted mean of Kα1 and Kα2). Structure: a crystal structure in OQMD, relaxed with GGA-PBE.
Lines closer than 0.1° are merged.

The 8 most intense peaks (2θ from 10° to 80°), by angle:
| 2theta | I (rel.) |
| --- | --- |
| 31.7 | 34 |
| 32.9 | 42 |
| 34.1 | 24 |
| 34.6 | 100 |
| 36.4 | 78 |
| 43.5 | 24 |
| 56.2 | 22 |
| 63.4 | 26 |

Crystal structure
```
HoErW2C3
1.0
5.8748 -1.6537 0.0000
5.8748 1.6537 0.0000
-2.1463 0.0000 5.2629
Ho Er W C
1 1 2 3
direct
0.0000 0.0000 0.0000
0.2208 0.2208 0.6426
0.4551 0.4551 0.4940
0.7654 0.7654 0.1473
0.3612 0.3612 0.0838
0.6105 0.6105 0.8200
0.8588 0.8588 0.5575
```

***

8.
This entry pairs a crystal structure of Er7C2I12N with its simulated powder diffractogram. Radiation: Cu Kα (weighted mean of Kα1 and Kα2). Structure: a crystal structure in OQMD, relaxed with GGA-PBE.
Lines closer than 0.1° are merged.

The 8 most intense peaks (2θ from 10° to 80°), by angle:
| 2theta | I (rel.) |
| --- | --- |
| 10.5 | 62 |
| 28.6 | 100 |
| 29.2 | 95 |
| 29.3 | 90 |
| 41.2 | 29 |
| 41.4 | 77 |
| 41.5 | 29 |
| 42.3 | 24 |

Crystal structure
```
Er7C2I12N
1.0
9.8496 0.0000 0.0000
-4.1235 9.7718 0.0000
-0.8809 -4.0635 16.3257
Er C I N
14 4 24 2
direct
0.0197 0.4354 0.1790
0.0474 0.2557 0.6914
0.1397 0.4535 0.9809
0.1616 0.5453 0.3844
0.2163 0.7544 0.1500
0.3647 0.8779 0.3541
0.4343 0.5703 0.2361
0.5657 0.4297 0.7639
0.6353 0.1221 0.6459
0.7837 0.2456 0.8500
0.8384 0.4547 0.6156
0.8603 0.5465 0.0191
0.9526 0.7443 0.3086
0.9803 0.5646 0.8210
0.1347 0.6783 0.2831
0.2545 0.6370 0.2651
0.7455 0.3630 0.7349
0.8653 0.3217 0.7169
0.0428 0.1486 0.8502
0.0603 0.7447 0.6979
0.1054 0.3995 0.5505
0.1602 0.0218 0.4093
0.2006 0.8147 0.9702
0.2274 0.2959 0.1099
0.2882 0.5298 0.8130
0.3269 0.1553 0.6648
0.3742 0.8009 0.5169
0.4026 0.4310 0.3738
0.4488 0.0514 0.2319
0.4677 0.6788 0.0759
0.5323 0.3212 0.9241
0.5512 0.9486 0.7681
0.5974 0.5690 0.6262
0.6258 0.1991 0.4831
0.6731 0.8447 0.3352
0.7118 0.4702 0.1870
0.7726 0.7041 0.8901
0.7994 0.1853 0.0298
0.8398 0.9782 0.5907
0.8946 0.6005 0.4495
0.9397 0.2553 0.3021
0.9572 0.8514 0.1498
0.0585 0.5481 0.0842
0.9415 0.4519 0.9158
```